Starting from a PBE-relaxed structure, the PXRD pattern of AcAlGaCu was computed for Cu Kα (weighted mean of Kα1 and Kα2).
Peak positions follow from Bragg's law for the DFT cell and can differ from measured ones.

Structure:
```
data_AcAlGaCu
_cell_length_a 4.2497
_cell_length_b 4.2497
_cell_length_c 17.5261
_cell_angle_alpha 90.00
_cell_angle_beta 90.00
_cell_angle_gamma 120.00
_symmetry_space_group_name_H-M 'R 3 m'
_symmetry_Int_Tables_number 160
_symmetry_space_group_name_Hall 'R 3 -2"'
loop_
_atom_site_label
_atom_site_type_symbol
_atom_site_fract_x
_atom_site_fract_y
_atom_site_fract_z
Ac1 Ac 0.0000 0.0000 0.0000
Al1 Al 0.0000 0.0000 0.7973
Ga1 Ga 0.0000 0.0000 0.2073
Cu1 Cu 0.0000 0.0000 0.4990
```

Most intense lines, 2θ from 10° to 90°, by intensity:
2theta, I_rel
31.75, 100.0
42.55, 60.2
26.26, 59.0
24.72, 54.9
35.36, 41.2
53.31, 37.3
30.61, 29.2
58.31, 22.7
54.05, 22.3
71.11, 19.5